Record 1
For La5Te, a GGA-PBE-relaxed structure gives the simulated XRD peak list in this record (copper Kα).
No peak broadening, texture or thermal motion is included.

a b c (Å): 6.423 6.423 8.929
angles (deg): 100.31 100.31 36.17
Sites, in units of the cell vectors:
La 0.000 0.000 0.000
La 0.020 0.020 0.401
La 0.280 0.280 0.137
La 0.373 0.373 0.670
La 0.658 0.658 0.763
Te 0.738 0.738 0.413

Main lines, low angle first (2θ from 10° to 90°):
2θ/deg  I (rel.)
26.2  37
27.4  31
29.6  26
30.3  100
30.6  27
31.7  75
32.9  28
34.6  20
45.5  24
47.7  20

Record 2
For LaTe2, a GGA-PBE-relaxed structure gives the simulated XRD peak list in this record (copper Kα).
No peak broadening, texture or thermal motion is included.

a b c (Å): 9.159 9.159 9.239
angles (deg): 90.00 90.00 90.00
Sites, in units of the cell vectors:
La 0.000 0.000 0.000
La 0.000 0.500 0.002
La 0.244 0.256 0.548
La 0.256 0.756 0.548
La 0.500 0.000 0.002
La 0.500 0.500 0.000
La 0.744 0.244 0.548
La 0.756 0.744 0.548
Te 0.000 0.000 0.640
Te 0.000 0.500 0.641
Te 0.016 0.750 0.274
Te 0.248 0.252 0.909
Te 0.250 0.016 0.274
Te 0.250 0.516 0.274
Te 0.252 0.752 0.909
Te 0.484 0.250 0.274
Te 0.500 0.000 0.641
Te 0.500 0.500 0.640
Te 0.516 0.750 0.274
Te 0.748 0.248 0.909
Te 0.750 0.484 0.274
Te 0.750 0.984 0.274
Te 0.752 0.748 0.909
Te 0.984 0.250 0.274

Main lines, low angle first (2θ from 10° to 90°):
2θ/deg  I (rel.)
27.5  22
29.0  40
29.2  100
33.8  94
35.1  46
39.3  63
49.6  35
53.8  27
56.9  21
67.8  23

Record 3
For La5ThTe8, a GGA-PBE-relaxed structure gives the simulated XRD peak list in this record (copper Kα).
No peak broadening, texture or thermal motion is included.

a b c (Å): 8.348 8.348 8.348
angles (deg): 109.39 109.39 109.63
Sites, in units of the cell vectors:
La 0.000 0.000 0.000
La 0.246 0.624 0.124
La 0.376 0.499 0.622
La 0.501 0.122 0.876
La 0.878 0.754 0.378
Th 0.750 0.250 0.500
Te 0.121 0.716 0.747
Te 0.123 0.224 0.749
Te 0.284 0.031 0.404
Te 0.476 0.374 0.251
Te 0.626 0.877 0.102
Te 0.627 0.879 0.596
Te 0.776 0.524 0.898
Te 0.969 0.373 0.253

Main lines, low angle first (2θ from 10° to 90°):
2θ/deg  I (rel.)
29.3  100
34.8  73
41.9  11
44.1  12
46.1  15
48.1  17
59.0  19
59.2  10
62.4  10
71.9  10